Calculated powder XRD pattern
Compound: TeSeCl
Radiation: Cu Ka
Structure: a PBE-relaxed structure

Most intense lines, 2θ = 10–80°, by angle:
| d (Å) | I_rel |
| --- | --- |
| 8.751 | 100 |
| 5.395 | 40 |
| 4.375 | 39 |
| 4.304 | 57 |
| 3.416 | 50 |
| 3.343 | 61 |
| 3.267 | 40 |
| 2.578 | 34 |
| 2.471 | 26 |
| 2.242 | 26 |

Crystal structure
```
TeSeCl
1.0
4.382 0.000 0.000
-0.154 5.395 0.000
-1.645 -0.099 8.751
Te Se Cl
2 2 2
Cartesian
0.000 0.000 0.000
0.228 0.241 3.152
2.764 3.781 2.312
2.925 2.075 4.014
-0.863 2.159 8.458
2.097 5.044 6.356
```

Calculated powder XRD pattern
Compound: Hg3As2
Radiation: Cu Ka
Structure: a PBE-relaxed structure

Most intense lines, 2θ = 10–80°, by angle:
| d (Å) | I_rel |
| --- | --- |
| 3.601 | 100 |
| 3.549 | 82 |
| 2.615 | 94 |
| 2.600 | 31 |
| 2.590 | 20 |
| 2.542 | 35 |
| 2.449 | 45 |
| 2.133 | 23 |
| 1.820 | 29 |
| 1.634 | 19 |

Crystal structure
```
Hg3As2
1.0
0.000 7.514 2.771
7.285 0.000 2.771
7.285 7.514 0.000
Hg As
6 4
Cartesian
0.000 0.000 0.000
9.090 5.647 2.105
3.642 3.757 1.386
5.480 9.381 2.105
5.447 5.624 3.491
9.123 9.405 3.491
7.279 3.914 2.799
10.933 7.671 4.185
7.290 11.115 2.799
10.922 14.872 4.185
```